Starting from a cell relaxed with GGA-PBE, the X-ray diffraction stick pattern of Nd3AsC was computed for a wavelength of 1.5418 Å.
Neutral-atom scattering factors, no anomalous dispersion.

Cell and atoms:
Cell lengths 8.239, 4.023, 14.409 Å; angles 90.00, 90.00, 90.00 degrees
Sites, in units of the cell vectors:
Nd 0.021 0.250 0.102
Nd 0.164 0.250 0.511
Nd 0.195 0.750 0.292
Nd 0.305 0.250 0.792
Nd 0.336 0.750 0.011
Nd 0.479 0.750 0.602
Nd 0.521 0.250 0.398
Nd 0.664 0.250 0.989
Nd 0.695 0.750 0.208
Nd 0.805 0.250 0.708
Nd 0.836 0.750 0.489
Nd 0.979 0.750 0.898
As 0.091 0.750 0.677
As 0.409 0.250 0.177
As 0.591 0.750 0.823
As 0.909 0.250 0.323
C 0.169 0.250 0.942
C 0.331 0.750 0.442
C 0.669 0.250 0.558
C 0.831 0.750 0.058

The 8 most intense peaks (15° ≤ 2θ ≤ 90°), in order of rising 2θ:
2θ (°)  intensity
30.96  100
31.70  70
32.93  60
33.03  37
33.21  47
33.53  84
45.07  35
56.96  40

---

Starting from a cell relaxed with GGA-PBE, the X-ray diffraction stick pattern of Nd4AsCS2 was computed for a wavelength of 1.5418 Å.
Neutral-atom scattering factors, no anomalous dispersion.

Cell and atoms:
Cell lengths 5.763, 5.763, 11.557 Å; angles 90.00, 90.00, 90.00 degrees
Sites, in units of the cell vectors:
Nd 0.000 0.000 0.225
Nd 0.000 0.000 0.775
Nd 0.000 0.500 0.501
Nd 0.000 0.500 0.999
Nd 0.500 0.000 0.001
Nd 0.500 0.000 0.499
Nd 0.500 0.500 0.275
Nd 0.500 0.500 0.725
As 0.000 0.500 0.250
As 0.500 0.000 0.750
C 0.000 0.000 0.000
C 0.500 0.500 0.500
S 0.000 0.000 0.500
S 0.000 0.500 0.750
S 0.500 0.000 0.250
S 0.500 0.500 0.000

The 8 most intense peaks (15° ≤ 2θ ≤ 90°), in order of rising 2θ:
2θ (°)  intensity
26.77  62
31.01  100
42.16  10
44.42  69
52.66  20
55.16  23
73.46  21
81.84  15

---

Starting from a cell relaxed with GGA-PBE, the X-ray diffraction stick pattern of Sn2AsCO was computed for a wavelength of 1.5418 Å.
Neutral-atom scattering factors, no anomalous dispersion.

Cell and atoms:
Cell lengths 5.091, 5.091, 3.820 Å; angles 90.00, 90.00, 90.00 degrees
Sites, in units of the cell vectors:
Sn 0.000 0.500 0.000
Sn 0.500 0.000 0.000
As 0.000 0.000 0.500
C 0.000 0.000 0.000
O 0.500 0.500 0.500

The 8 most intense peaks (15° ≤ 2θ ≤ 90°), in order of rising 2θ:
2θ (°)  intensity
23.28  15
24.73  19
34.23  100
35.26  52
42.69  13
50.73  18
60.61  22
62.62  36

---

Starting from a cell relaxed with GGA-PBE, the X-ray diffraction stick pattern of TlAsC2O6 was computed for a wavelength of 1.5418 Å.
Neutral-atom scattering factors, no anomalous dispersion.

Cell and atoms:
Cell lengths 6.820, 6.820, 8.745 Å; angles 112.59, 112.59, 80.32 degrees
Sites, in units of the cell vectors:
Tl 0.028 0.972 0.750
Tl 0.972 0.028 0.250
As 0.465 0.535 0.250
As 0.535 0.465 0.750
C 0.175 0.392 0.701
C 0.392 0.175 0.201
C 0.608 0.825 0.799
C 0.825 0.608 0.299
O 0.004 0.348 0.697
O 0.253 0.316 0.572
O 0.316 0.253 0.072
O 0.316 0.530 0.847
O 0.348 0.004 0.197
O 0.470 0.684 0.653
O 0.530 0.316 0.347
O 0.652 0.996 0.803
O 0.684 0.470 0.153
O 0.684 0.747 0.928
O 0.747 0.684 0.428
O 0.996 0.652 0.303

The 8 most intense peaks (15° ≤ 2θ ≤ 90°), in order of rising 2θ:
2θ (°)  intensity
19.70  62
20.19  100
21.81  59
23.54  85
26.58  26
28.36  62
29.89  84
31.20  44

---

Starting from a cell relaxed with GGA-PBE, the X-ray diffraction stick pattern of AsPC2 was computed for a wavelength of 1.5418 Å.
Neutral-atom scattering factors, no anomalous dispersion.

Cell and atoms:
Cell lengths 3.015, 3.015, 23.491 Å; angles 90.00, 90.00, 120.00 degrees
Sites, in units of the cell vectors:
As 0.000 0.000 0.000
As 0.333 0.667 0.667
As 0.667 0.333 0.333
P 0.000 0.000 0.524
P 0.333 0.667 0.191
P 0.667 0.333 0.858
C 0.000 0.000 0.228
C 0.000 0.000 0.292
C 0.333 0.667 0.894
C 0.333 0.667 0.958
C 0.667 0.333 0.561
C 0.667 0.333 0.625

The 8 most intense peaks (15° ≤ 2θ ≤ 90°), in order of rising 2θ:
2θ (°)  intensity
22.71  77
35.21  67
37.71  100
43.94  23
46.55  32
52.39  23
61.52  25
66.46  23

---

Starting from a cell relaxed with GGA-PBE, the X-ray diffraction stick pattern of SiAsPRh2C was computed for a wavelength of 1.5418 Å.
Neutral-atom scattering factors, no anomalous dispersion.

Cell and atoms:
Cell lengths 4.299, 4.424, 4.885 Å; angles 84.91, 89.50, 80.94 degrees
Sites, in units of the cell vectors:
Si 0.000 0.000 0.000
As 0.425 0.932 0.323
P 0.916 0.423 0.652
Rh 0.454 0.141 0.755
Rh 0.681 0.408 0.230
C 0.791 0.703 0.887

The 8 most intense peaks (15° ≤ 2θ ≤ 90°), in order of rising 2θ:
2θ (°)  intensity
20.41  54
20.93  94
31.69  100
33.70  81
36.95  44
42.94  43
47.79  60
49.12  38